# 1
Theoretical XRD peak list
Compound: CaFe8O14F2
Radiation: Cu Ka
Structure: a DFT-relaxed cell (PBE+U, the Materials Project)
Peak positions follow from Bragg's law for the DFT cell and can differ from measured ones.

Atomic structure:
```
25
Lattice="4.618 0.000 0.000 0.073 4.626 0.000 1.546 0.432 13.623" Properties=species:S:1:pos:R:3 pbc="T T T"
Ca 0.000 0.000 0.000
Fe 2.187 3.134 11.145
Fe 2.373 3.178 8.116
Fe 2.328 3.170 5.200
Fe 2.114 3.537 2.293
Fe 3.958 2.693 13.220
Fe 4.762 0.970 9.872
Fe 4.633 0.876 6.794
Fe 4.640 0.863 3.827
O 0.952 4.586 5.307
O 0.573 0.106 2.206
O 1.532 2.316 9.615
O 1.946 2.707 13.078
O 1.451 2.252 6.673
O 1.338 2.337 3.653
O 2.428 4.028 0.295
O 3.276 4.080 6.721
O 3.918 2.127 11.419
O 3.212 4.158 3.707
O 3.795 1.796 8.272
O 3.736 1.768 5.243
O 5.773 4.697 11.326
O 5.614 4.604 8.261
F 3.344 4.203 9.802
F 2.965 1.788 1.424
```

Main lines, in order of falling intensity (2θ = 5–70°):
d (Å)	Rel. int.
3.277	100
3.238	62
3.191	28
2.467	26
13.623	22
2.599	21
2.210	20
1.744	20

=====

# 2
Theoretical XRD peak list
Compound: MoSeCl7O
Radiation: Cu Ka
Structure: a DFT-relaxed cell (PBE+U, the Materials Project)
Peak positions follow from Bragg's law for the DFT cell and can differ from measured ones.

Atomic structure:
```
20
Lattice="8.172 0.000 0.000 2.727 8.125 0.000 3.907 -1.241 9.105" Properties=species:S:1:pos:R:3 pbc="T T T"
Mo 2.273 1.103 1.020
Mo 12.532 5.780 8.085
Se 7.560 1.185 6.552
Se 7.245 5.698 2.553
Cl 3.054 1.737 3.129
Cl 4.716 6.978 1.827
Cl 5.509 1.934 6.314
Cl 3.511 2.993 0.169
Cl 7.055 6.537 4.589
Cl 9.310 6.968 7.949
Cl 6.159 3.816 2.870
Cl 8.646 3.067 6.235
Cl 5.496 -0.085 1.156
Cl 7.750 0.346 4.516
Cl 11.295 3.890 8.935
Cl 9.296 4.950 2.791
Cl 10.089 -0.094 7.278
Cl 11.752 5.146 5.976
O 5.961 5.246 8.153
O 8.845 1.637 0.952
```

Main lines, in order of falling intensity (2θ = 5–70°):
d (Å)	Rel. int.
6.155	100
2.707	43
2.721	42
4.815	34
4.728	32
3.596	26
2.565	23
4.587	22

=====

# 3
Theoretical XRD peak list
Compound: Na2Mo2As3O16
Radiation: Cu Ka
Structure: a DFT-relaxed cell (PBE+U, the Materials Project)
Peak positions follow from Bragg's law for the DFT cell and can differ from measured ones.

Atomic structure:
```
46
Lattice="7.926 0.000 0.000 -1.907 9.283 0.000 -3.207 -3.764 10.467" Properties=species:S:1:pos:R:3 pbc="T T T"
Na 0.700 2.504 0.367
Na -0.769 7.667 3.740
Na 3.582 -2.148 6.727
Na 2.112 3.016 10.100
Mo -1.563 2.213 8.317
Mo 1.917 5.690 0.951
Mo 0.896 -0.171 9.516
Mo 4.376 3.307 2.150
As -1.937 4.705 4.661
As -0.836 -1.328 7.039
As 1.292 4.564 4.172
As 1.520 0.956 6.295
As 3.649 6.848 3.428
As 4.749 0.815 5.806
O -1.927 3.980 3.009
O -2.771 6.322 4.324
O -1.388 7.564 1.457
O 0.853 -0.381 1.361
O 1.414 -0.011 0.233
O -2.546 1.538 10.137
O -1.915 3.884 8.466
O 0.725 1.846 2.937
O -0.894 -0.155 8.424
O -0.552 2.131 6.866
O -0.300 5.522 4.578
O 0.505 -0.546 5.987
O 1.409 0.939 3.474
O 1.079 4.722 2.361
O 1.643 7.320 1.442
O 2.913 3.472 0.696
O -0.100 2.048 9.771
O 1.169 -1.801 9.025
O 1.734 0.798 8.106
O 1.403 4.581 6.993
O 2.308 6.066 4.480
O 3.113 -0.002 5.889
O 3.364 3.389 3.601
O 3.707 5.675 2.043
O 2.088 3.674 7.530
O 4.728 1.635 2.001
O 5.358 3.982 0.330
O 1.398 5.530 10.234
O 1.960 5.901 9.106
O 4.200 -2.044 9.010
O 5.583 -0.802 6.143
O 4.740 1.540 7.458
```

Main lines, in order of falling intensity (2θ = 5–70°):
d (Å)	Rel. int.
8.211	100
8.736	88
7.281	68
4.731	41
3.014	41
4.356	41
3.828	36
2.917	35

=====

# 4
Theoretical XRD peak list
Compound: Sr8Mn6Cu4Se4O15
Radiation: Cu Ka
Structure: a DFT-relaxed cell (PBE+U, the Materials Project)
Peak positions follow from Bragg's law for the DFT cell and can differ from measured ones.

Atomic structure:
```
37
Lattice="2.814 -17.740 0.000 2.814 17.740 0.000 -0.052 0.000 5.626" Properties=species:S:1:pos:R:3 pbc="T T T"
Sr 1.374 5.707 1.426
Sr 1.354 1.970 1.446
Sr 1.354 -1.970 1.446
Sr 1.374 -5.707 1.426
Sr 4.201 5.707 4.200
Sr 4.222 1.970 4.180
Sr 4.222 -1.970 4.180
Sr 4.201 -5.707 4.200
Mn 1.395 3.909 4.247
Mn 1.337 0.000 4.188
Mn 1.395 -3.909 4.247
Mn 4.181 3.909 1.380
Mn 4.239 0.000 1.438
Mn 4.181 -3.909 1.380
Cu 2.814 8.873 0.000
Cu 2.788 8.867 2.813
Cu 2.814 -8.873 0.000
Cu 2.788 -8.867 2.813
Se 1.366 7.355 4.219
Se 1.366 -7.355 4.219
Se 4.210 7.355 1.407
Se 4.210 -7.355 1.407
O 0.000 0.000 0.000
O -0.026 0.000 2.813
O 2.788 13.752 2.813
O 2.814 13.562 0.000
O 1.584 1.881 4.439
O 1.584 -1.881 4.439
O 2.814 4.331 0.000
O 2.788 4.177 2.813
O 2.788 0.000 2.813
O 2.788 -4.177 2.813
O 2.814 -4.331 0.000
O 3.991 1.881 1.188
O 3.991 -1.881 1.188
O 2.814 -13.562 0.000
O 2.788 -13.752 2.813
```

Main lines, in order of falling intensity (2θ = 5–70°):
d (Å)	Rel. int.
2.809	100
2.794	63
2.376	36
1.999	28
1.980	27
1.614	24
1.626	24
1.618	23